Calculated X-ray diffraction stick pattern of HoRe2O8 for Cu Kα, from the PBE geometry in Alexandria.
Kinematic intensities with the Lorentz-polarization factor, no thermal factor.

Peak list (8 most intense, 2θ from 15° to 90°, by intensity)
26.45 deg, intensity 100.0, hkl 2 2 0; 46.69 deg, intensity 41.6, hkl 4 2 2; 16.11 deg, intensity 29.8, hkl 1 1 1; 18.62 deg, intensity 22.5, hkl 2 0 0; 74.49 deg, intensity 22.5, hkl 6 4 2; 54.46 deg, intensity 18.5, hkl 4 4 0; 61.53 deg, intensity 17.8, hkl 6 2 0; 86.67 deg, intensity 11.8, hkl 6 6 0

```
data_HoRe2O8
_symmetry_space_group_name_H-M 'F m -3 m'
_symmetry_Int_Tables_number 225
_symmetry_space_group_name_Hall '-F 4 2 3'
_cell_length_a 9.532
_cell_length_b 9.532
_cell_length_c 9.532
_cell_angle_alpha 90.00
_cell_angle_beta 90.00
_cell_angle_gamma 90.00
loop_
_atom_site_label
_atom_site_type_symbol
_atom_site_fract_x
_atom_site_fract_y
_atom_site_fract_z
Ho1 Ho 0.000 0.000 0.000
Re1 Re 0.250 0.250 0.250
O1 O 0.143 0.143 0.143
```

---

Calculated X-ray diffraction stick pattern of Sr2HoReO8 for Cu Kα, from the PBE geometry in Alexandria.
Kinematic intensities with the Lorentz-polarization factor, no thermal factor.

Peak list (8 most intense, 2θ from 15° to 90°, by intensity)
25.02 deg, intensity 100.0, hkl 1 -1 0; 26.15 deg, intensity 84.4, hkl 1 1 0; 30.01 deg, intensity 70.8, hkl 1 0 -2; 32.59 deg, intensity 62.1, hkl 0 2 0; 30.83 deg, intensity 51.9, hkl 0 1 -2; 19.74 deg, intensity 46.2, hkl 1 0 0; 46.75 deg, intensity 45.7, hkl -1 2 2; 38.67 deg, intensity 44.9, hkl 1 0 2

```
data_Sr2HoReO8
_symmetry_space_group_name_H-M 'P -1'
_symmetry_Int_Tables_number 2
_cell_length_a 4.652
_cell_length_b 5.534
_cell_length_c 6.609
_cell_angle_alpha 96.28
_cell_angle_beta 104.62
_cell_angle_gamma 90.86
loop_
_symmetry_equiv_pos_as_xyz
'x,y,z'
'-x,-y,-z'
loop_
_atom_site_label
_atom_site_type_symbol
_atom_site_fract_x
_atom_site_fract_y
_atom_site_fract_z
Sr1 Sr 0.094 0.011 0.280
Ho1 Ho 0.500 0.500 0.000
Re1 Re 0.500 0.500 0.500
O1 O 0.209 0.441 0.220
O2 O 0.268 0.334 0.645
O3 O 0.336 0.793 0.569
O4 O 0.379 0.910 0.003
```

---

Calculated X-ray diffraction stick pattern of HoTm2ReO8 for Cu Kα, from the PBE geometry in Alexandria.
Kinematic intensities with the Lorentz-polarization factor, no thermal factor.

Peak list (8 most intense, 2θ from 15° to 90°, by intensity)
32.27 deg, intensity 100.0, hkl 1 1 2; 25.10 deg, intensity 57.5, hkl 0 2 0; 25.38 deg, intensity 53.8, hkl 2 0 0; 48.95 deg, intensity 39.3, hkl 1 3 2; 49.27 deg, intensity 36.8, hkl 3 1 2; 36.00 deg, intensity 30.7, hkl 2 2 0; 62.38 deg, intensity 21.4, hkl 3 3 2; 67.54 deg, intensity 11.4, hkl 2 2 4

```
data_HoTm2ReO8
_symmetry_space_group_name_H-M 'C m m m'
_symmetry_Int_Tables_number 65
_symmetry_space_group_name_Hall '-C 2 2'
_cell_length_a 7.018
_cell_length_b 7.096
_cell_length_c 6.674
_cell_angle_alpha 90.00
_cell_angle_beta 90.00
_cell_angle_gamma 90.00
loop_
_atom_site_label
_atom_site_type_symbol
_atom_site_fract_x
_atom_site_fract_y
_atom_site_fract_z
Ho1 Ho 0.000 0.000 0.000
Tm1 Tm 0.000 0.500 0.247
Re1 Re 0.000 0.000 0.500
O1 O 0.000 0.184 0.292
O2 O 0.192 0.500 0.000
O3 O 0.229 0.500 0.500
```